(1)
For FeCu2S2, a structure optimized by DFT (GGA-PBE) gives the calculated powder diffraction line list in this record (Cu Kα (λ = 1.5418 Å)).

Peak list (10 most intense, 2θ from 10° to 90°, by intensity)
47.8°, 1.903 Å, I 100; 33.3°, 2.691 Å, I 37; 28.7°, 3.107 Å, I 36; 89.1°, 1.098 Å, I 28; 14.3°, 6.214 Å, I 22; 27.5°, 3.245 Å, I 17; 69.9°, 1.345 Å, I 14; 56.7°, 1.622 Å, I 13; 36.4°, 2.469 Å, I 12; 79.7°, 1.203 Å, I 9

Crystal structure
```
FeCu2S2
1.0
0.000 5.381 5.381
5.381 0.000 5.381
5.381 5.381 0.000
Fe Cu S
4 8 8
Direct
0.377 0.377 0.377
0.377 0.377 0.870
0.377 0.870 0.377
0.870 0.377 0.377
0.100 0.633 0.633
0.360 0.880 0.880
0.633 0.100 0.633
0.633 0.633 0.100
0.633 0.633 0.633
0.880 0.360 0.880
0.880 0.880 0.360
0.880 0.880 0.880
0.000 0.000 0.000
0.009 0.009 0.491
0.009 0.491 0.009
0.009 0.491 0.491
0.491 0.009 0.009
0.491 0.009 0.491
0.491 0.491 0.009
0.500 0.500 0.500
```

(2)
For Ho4Cu3Si, a structure optimized by DFT (GGA-PBE) gives the calculated powder diffraction line list in this record (Cu Kα (λ = 1.5418 Å)).

Peak list (10 most intense, 2θ from 10° to 90°, by intensity)
32.7°, 2.739 Å, I 100; 42.3°, 2.138 Å, I 52; 29.3°, 3.050 Å, I 50; 26.3°, 3.386 Å, I 46; 34.6°, 2.595 Å, I 46; 55.9°, 1.645 Å, I 46; 34.9°, 2.574 Å, I 45; 36.5°, 2.465 Å, I 43; 29.1°, 3.068 Å, I 39; 36.7°, 2.447 Å, I 39

Crystal structure
```
Ho4Cu3Si
1.0
5.545 0.000 0.000
0.000 4.276 0.000
-0.086 0.000 7.134
Ho Cu Si
4 3 1
Direct
0.000 0.000 0.000
0.231 0.000 0.493
0.499 0.500 0.140
0.732 0.500 0.641
0.491 0.000 0.851
0.734 0.000 0.351
0.988 0.500 0.281
0.229 0.500 0.779
```

(3)
For Zn2Ni9, a structure optimized by DFT (GGA-PBE) gives the calculated powder diffraction line list in this record (Cu Kα (λ = 1.5418 Å)).

Peak list (10 most intense, 2θ from 10° to 90°, by intensity)
44.8°, 2.022 Å, I 100; 51.3°, 1.781 Å, I 55; 43.9°, 2.060 Å, I 53; 52.9°, 1.730 Å, I 41; 44.3°, 2.044 Å, I 36; 76.5°, 1.245 Å, I 28; 10.2°, 8.685 Å, I 21; 77.1°, 1.237 Å, I 19; 47.1°, 1.931 Å, I 16; 12.7°, 6.948 Å, I 6

Crystal structure
```
Zn2Ni9
1.0
2.491 0.000 0.000
-1.246 2.157 0.000
0.000 0.000 34.740
Zn Ni
2 9
Direct
0.333 0.667 0.294
0.667 0.333 0.706
0.000 0.000 0.000
0.000 0.000 0.173
0.000 0.000 0.827
0.333 0.667 0.115
0.333 0.667 0.769
0.333 0.667 0.942
0.667 0.333 0.058
0.667 0.333 0.231
0.667 0.333 0.885
```